AlH10C3N: simulated powder diffraction line list (Cu Kα (λ = 1.5418 Å)), based on the GGA-PBE geometry in Alexandria.
Intensities are scaled so that the largest is 100.

Cell and atoms:
```
60
Lattice="5.3545 0.0000 0.0000 0.0000 10.3872 0.0000 -3.9077 0.0000 10.2362" Properties=species:S:1:pos:R:3 pbc="T T T"
Al -0.6394 0.5468 4.9724
Al -2.5932 4.6468 10.0905
Al 4.0399 5.7404 0.1457
Al 2.0861 9.8405 5.2638
H -0.3914 0.5277 1.8315
H -2.3453 4.6659 6.9495
H -2.1161 1.3348 7.3636
H -0.1622 3.8588 2.2455
H -2.5961 0.4384 9.5776
H -0.6423 4.7552 4.4595
H 0.2580 7.6062 2.1173
H -1.6959 7.9746 7.2354
H 1.1590 7.4978 0.5939
H -0.7949 8.0831 5.7119
H -0.0754 6.3788 4.0225
H -2.0293 9.2021 9.1406
H -0.4591 2.1193 5.2165
H 1.4948 3.0743 0.0985
H -1.5735 5.5508 9.1677
H 0.3804 10.0300 4.0496
H -0.6575 0.5648 8.0007
H 1.2964 4.6288 2.8826
H 1.5118 1.6967 3.0168
H -0.4421 3.4969 8.1348
H 1.8888 6.8903 2.1013
H -0.0651 8.6905 7.2194
H 0.1504 5.7584 7.3536
H 2.1042 9.8224 2.2355
H 1.0663 0.3572 6.1866
H 3.0202 4.8364 1.0685
H -0.0480 7.3129 10.1377
H 1.9058 8.2679 5.0196
H 3.4760 1.1852 1.0956
H 1.5221 4.0084 6.2137
H 2.2416 2.3042 4.5242
H 0.2877 2.8894 9.6423
H 3.1426 2.4126 3.0008
H 1.1887 2.7810 8.1189
H 2.0890 5.6320 5.7767
H 4.0429 9.9488 0.6586
H 1.6089 6.5284 7.9906
H 3.5628 9.0524 2.8725
H 3.7920 5.7213 3.2866
H 1.8381 9.8595 8.4047
C -0.5484 5.4689 3.6289
C -2.5023 10.1120 8.7470
C -1.6789 0.3598 7.6297
C 0.2749 4.8338 2.5117
C 0.9462 6.9749 1.5353
C -1.0077 8.6060 6.6534
C 2.4544 1.7812 3.5828
C 0.5005 3.4124 8.7009
C 1.1718 5.5534 7.7245
C 3.1257 10.0275 2.6064
C 3.9490 0.2752 1.4892
C 1.9951 4.9184 6.6073
N 0.3733 5.6377 1.2582
N -1.5806 9.9431 6.3763
N 3.0273 0.4441 3.8598
N 1.0734 4.7495 8.9779
```

Most intense lines, 2θ = 10–90°, in order of falling intensity:
| d/Å | two_theta | Rel. int. |
| --- | --- | --- |
| 7.291 | 12.14 | 100 |
| 5.194 | 17.07 | 59 |
| 4.722 | 18.79 | 41 |
| 3.709 | 23.99 | 20 |
| 2.501 | 35.90 | 11 |
| 2.873 | 31.13 | 9 |
| 2.200 | 41.02 | 8 |
| 2.130 | 42.43 | 8 |
| 2.332 | 38.61 | 7 |
| 2.849 | 31.40 | 7 |